For NaFe6H12S4O29, a DFT-relaxed cell (GGA+U, the Materials Project) gives the simulated PXRD pattern in this record (CuKα).
Intensities are scaled so that the largest is 1000.

Structure:
a = 7.0110 Å, b = 7.4054 Å, c = 10.2603 Å
α = 90.00°, β = 93.62°, γ = 90.00°
Fractional positions:
Na (0.0000, 0.0000, 0.0000)
Fe (0.0000, 0.5000, 0.5000)
Fe (0.2439, 0.2507, 0.2457)
Fe (0.2439, 0.7493, 0.2457)
Fe (0.5000, 0.0000, 0.0000)
Fe (0.7561, 0.2507, 0.7543)
Fe (0.7561, 0.7493, 0.7543)
H (0.0120, 0.0000, 0.3042)
H (0.1895, 0.2186, 0.4932)
H (0.1895, 0.7814, 0.4932)
H (0.3114, 0.2934, 0.0083)
H (0.3114, 0.7066, 0.0083)
H (0.4737, 0.5000, 0.1847)
H (0.5263, 0.5000, 0.8153)
H (0.6886, 0.2934, 0.9917)
H (0.6886, 0.7066, 0.9917)
H (0.8105, 0.2186, 0.5068)
H (0.8105, 0.7814, 0.5068)
H (0.9880, 0.0000, 0.6958)
S (0.1295, 0.5000, 0.8105)
S (0.3873, 0.0000, 0.6911)
S (0.6127, 0.0000, 0.3089)
S (0.8705, 0.5000, 0.1895)
O (0.0144, 0.3348, 0.8373)
O (0.0144, 0.6652, 0.8373)
O (0.1303, 0.0000, 0.2573)
O (0.1635, 0.3171, 0.4297)
O (0.1635, 0.6829, 0.4297)
O (0.1837, 0.5000, 0.6738)
O (0.2151, 0.0000, 0.6010)
O (0.3027, 0.5000, 0.9012)
O (0.3212, 0.1866, 0.0661)
O (0.3212, 0.8134, 0.0661)
O (0.3292, 0.0000, 0.8290)
O (0.3499, 0.5000, 0.2258)
O (0.4973, 0.1650, 0.3321)
O (0.4973, 0.8350, 0.3321)
O (0.5000, 0.5000, 0.5000)
O (0.5027, 0.1650, 0.6679)
O (0.5027, 0.8350, 0.6679)
O (0.6501, 0.5000, 0.7742)
O (0.6708, 0.0000, 0.1710)
O (0.6788, 0.1866, 0.9339)
O (0.6788, 0.8134, 0.9339)
O (0.6973, 0.5000, 0.0988)
O (0.7849, 0.0000, 0.3990)
O (0.8163, 0.5000, 0.3262)
O (0.8365, 0.3171, 0.5703)
O (0.8365, 0.6829, 0.5703)
O (0.8697, 0.0000, 0.7427)
O (0.9856, 0.3348, 0.1627)
O (0.9856, 0.6652, 0.1627)

Principal peaks in the range 2θ = 5–70°, by intensity:
(hkl)  2theta  intensity
1 2 -1  28.38  1000
0 1 3  28.84  682
1 1 0  17.44  589
1 0 1  15.78  333
2 1 -1  29.07  321
0 0 2  17.32  291
2 2 -4  49.34  271
2 1 3  39.95  231
2 3 -1  45.52  230
2 0 2  31.88  185